[1]
Structure and computed PXRD pattern of Li7Mn5O12 (a PBE+U-relaxed structure; Cu Kα X-rays).

Crystal structure
```
data_Li7Mn5O12
_cell_length_a 15.7984
_cell_length_b 2.8843
_cell_length_c 9.8134
_cell_angle_alpha 90.00
_cell_angle_beta 98.01
_cell_angle_gamma 90.00
_space_group_name_H-M_alt 'C 1 2/m 1'
_space_group_IT_number 12
loop_
_space_group_symop_operation_xyz
'x,y,z'
'-x,-y,-z'
'-x,y,-z'
'x,-y,z'
'x+1/2,y+1/2,z'
'-x+1/2,-y+1/2,-z'
'-x+1/2,y+1/2,-z'
'x+1/2,-y+1/2,z'
loop_
_atom_site_label
_atom_site_fract_x
_atom_site_fract_y
_atom_site_fract_z
_atom_site_occupancy
Li1 0.0000 0.0000 0.0000 1
Li2 0.0780 0.5000 0.2431 1
Li3 0.0836 0.0000 0.7582 1
Li4 0.2476 0.0000 0.2511 1
Mn1 0.0000 0.5000 0.5000 1
Mn2 0.1626 0.5000 0.9977 1
Mn3 0.1667 0.0000 0.4985 1
O1 0.0321 0.0000 0.3802 1
O2 0.0594 0.5000 0.8887 1
O3 0.1318 0.0000 0.1126 1
O4 0.1346 0.5000 0.6156 1
O5 0.1994 0.5000 0.3800 1
O6 0.2120 0.0000 0.8947 1
```

Peak list (6 most intense, 10° ≤ 2θ ≤ 90°, low angle first)
| hkl | 2θ/deg | I/Imax |
| --- | --- | --- |
| 0 0 2 | 18.3 | 100.0 |
| 6 0 0 | 34.4 | 19.6 |
| 3 1 -1 | 36.2 | 22.8 |
| 6 0 2 | 41.5 | 33.3 |
| 3 1 -3 | 44.0 | 57.7 |
| 3 1 5 | 62.2 | 16.5 |

---

[2]
Structure and computed PXRD pattern of Ba3Fe2Br2O5 (a PBE+U-relaxed structure; Cu Kα X-rays).

Crystal structure
```
data_Ba3Fe2Br2O5
_cell_length_a 10.2152
_cell_length_b 10.2246
_cell_length_c 10.2465
_cell_angle_alpha 90.00
_cell_angle_beta 90.00
_cell_angle_gamma 90.00
_space_group_name_H-M_alt 'I 21 21 21'
_space_group_IT_number 24
loop_
_space_group_symop_operation_xyz
'x,y,z'
'-x,-y+1/2,z'
'x,-y,-z+1/2'
'-x,y+1/2,-z+1/2'
'x+1/2,y+1/2,z+1/2'
'-x+1/2,-y,z+1/2'
'x+1/2,-y+1/2,-z'
'-x+1/2,y,-z'
loop_
_atom_site_label
_atom_site_fract_x
_atom_site_fract_y
_atom_site_fract_z
_atom_site_occupancy
Ba1 0.0000 0.2500 0.0965 1
Ba2 0.0966 0.5000 0.7500 1
Ba3 0.2500 0.0961 0.5000 1
Fe1 0.0952 0.4042 0.4052 1
Br1 0.1913 0.1912 0.8087 1
O1 0.0000 0.2500 0.3619 1
O2 0.0097 0.0095 0.9902 1
O3 0.1398 0.5000 0.2500 1
O4 0.2500 0.3613 0.5000 1
```

Peak list (6 most intense, 10° ≤ 2θ ≤ 90°, low angle first)
| hkl | 2θ/deg | I/Imax |
| --- | --- | --- |
| 1 2 1 | 21.3 | 34.8 |
| 1 0 3 | 27.6 | 100.0 |
| 1 3 2 | 32.8 | 80.8 |
| 0 2 4 | 39.4 | 26.8 |
| 5 2 3 | 55.4 | 22.9 |
| 5 1 4 | 58.5 | 18.2 |

---

[3]
Structure and computed PXRD pattern of MgTiCo2O6 (a PBE+U-relaxed structure; Cu Kα X-rays).

Crystal structure
```
data_MgTiCo2O6
_cell_length_a 2.9799
_cell_length_b 6.0177
_cell_length_c 6.4603
_cell_angle_alpha 78.90
_cell_angle_beta 76.96
_cell_angle_gamma 88.30
_space_group_name_H-M_alt 'P 1'
_space_group_IT_number 1
loop_
_space_group_symop_operation_xyz
'x,y,z'
loop_
_atom_site_label
_atom_site_fract_x
_atom_site_fract_y
_atom_site_fract_z
_atom_site_occupancy
Mg1 0.0000 0.0000 0.0000 1
Ti1 0.9062 0.4992 0.9989 1
Co1 0.2888 0.1966 0.3758 1
Co2 0.6962 0.8091 0.6227 1
O1 0.1330 0.5889 0.6920 1
O2 0.1787 0.0276 0.6714 1
O3 0.4888 0.7392 0.9985 1
O4 0.4911 0.2661 0.0003 1
O5 0.8027 0.9772 0.3276 1
O6 0.8664 0.4171 0.3072 1
```

Peak list (6 most intense, 10° ≤ 2θ ≤ 90°, low angle first)
| hkl | 2θ/deg | I/Imax |
| --- | --- | --- |
| 0 1 1 | 18.7 | 100.0 |
| 1 1 0 | 34.6 | 15.7 |
| 0 1 -2 | 35.3 | 16.5 |
| 1 2 1 | 42.1 | 35.0 |
| 1 -2 0 | 43.4 | 28.0 |
| 0 0 3 | 44.0 | 26.6 |

---

[4]
Structure and computed PXRD pattern of MnSiO3 (a PBE+U-relaxed structure; Cu Kα X-rays).

Crystal structure
```
data_MnSiO3
_cell_length_a 9.7016
_cell_length_b 9.3416
_cell_length_c 5.4493
_cell_angle_alpha 90.00
_cell_angle_beta 102.18
_cell_angle_gamma 90.00
_space_group_name_H-M_alt 'P 1 21/c 1'
_space_group_IT_number 14
loop_
_space_group_symop_operation_xyz
'x,y,z'
'-x,-y,-z'
'-x,y+1/2,-z+1/2'
'x,-y+1/2,z+1/2'
loop_
_atom_site_label
_atom_site_fract_x
_atom_site_fract_y
_atom_site_fract_z
_atom_site_occupancy
Mn1 0.2498 0.0119 0.0028 1
Mn2 0.2503 0.6492 0.0024 1
Si1 0.0459 0.1636 0.2724 1
Si2 0.4535 0.1639 0.7216 1
O1 0.1007 0.2421 0.5499 1
O2 0.1243 0.0108 0.2691 1
O3 0.1268 0.6594 0.2894 1
O4 0.3739 0.0126 0.7355 1
O5 0.3737 0.6588 0.7153 1
O6 0.4002 0.2341 0.4365 1
```

Peak list (6 most intense, 10° ≤ 2θ ≤ 90°, low angle first)
| hkl | 2θ/deg | I/Imax |
| --- | --- | --- |
| 1 2 1 | 28.3 | 100.0 |
| 3 1 0 | 29.8 | 49.8 |
| 0 3 1 | 33.3 | 53.5 |
| 2 0 -2 | 35.0 | 47.2 |
| 2 3 1 | 40.3 | 42.2 |
| 4 3 1 | 54.2 | 47.5 |